No. 1
Simulated X-ray powder pattern
Compound: Sm12YTm5
Radiation: Cu Kα (weighted mean of Kα1 and Kα2)
Structure: the PBE geometry in Alexandria
Kinematic intensities with the Lorentz-polarization factor, no thermal factor.

Crystal structure
```
data_Sm12YTm5
_symmetry_space_group_name_H-M 'P 1 2/m 1'
_symmetry_Int_Tables_number 10
_symmetry_space_group_name_Hall '-P 2y'
_cell_length_a 10.7452
_cell_length_b 5.0801
_cell_length_c 10.7650
_cell_angle_alpha 90.00
_cell_angle_beta 90.24
_cell_angle_gamma 90.00
loop_
_atom_site_label
_atom_site_type_symbol
_atom_site_fract_x
_atom_site_fract_y
_atom_site_fract_z
Sm1 Sm 0.0016 0.0000 0.1672
Sm2 Sm 0.1661 0.5000 0.6662
Sm3 Sm 0.1686 0.5000 0.0016
Sm4 Sm 0.3327 0.0000 0.4985
Sm5 Sm 0.3352 0.0000 0.8351
Sm6 Sm 0.4983 0.5000 0.3315
Y1 Y 0.0000 0.0000 0.5000
Tm1 Tm 0.1673 0.5000 0.3327
Tm2 Tm 0.3333 0.0000 0.1667
Tm3 Tm 0.5000 0.5000 0.0000
```

Peak list (6 most intense, 2θ from 5° to 70°, sorted by position)
| Position (°2θ) | I/Imax | h k l |
| --- | --- | --- |
| 30.52 | 100.0 | 3 1 0 |
| 35.34 | 33.9 | 0 2 0 |
| 35.49 | 16.7 | 3 0 3 |
| 50.85 | 18.1 | 0 0 6 |
| 50.96 | 18.0 | 6 0 0 |
| 60.46 | 28.7 | 3 3 0 |

No. 2
Simulated X-ray powder pattern
Compound: Rb2TlHg5Pd
Radiation: Cu Kα (weighted mean of Kα1 and Kα2)
Structure: the PBE geometry in Alexandria
Kinematic intensities with the Lorentz-polarization factor, no thermal factor.

Crystal structure
```
data_Rb2TlHg5Pd
_symmetry_space_group_name_H-M 'I 4 m m'
_symmetry_Int_Tables_number 107
_symmetry_space_group_name_Hall 'I 4 -2'
_cell_length_a 7.5112
_cell_length_b 7.5112
_cell_length_c 9.9837
_cell_angle_alpha 90.00
_cell_angle_beta 90.00
_cell_angle_gamma 90.00
loop_
_atom_site_label
_atom_site_type_symbol
_atom_site_fract_x
_atom_site_fract_y
_atom_site_fract_z
Rb1 Rb 0.0000 0.5000 0.0000
Tl1 Tl 0.0000 0.0000 0.0598
Hg1 Hg 0.0000 0.0000 0.4907
Hg2 Hg 0.2385 0.2385 0.2520
Pd1 Pd 0.0000 0.0000 0.7793
```

Peak list (6 most intense, 2θ from 5° to 70°, sorted by position)
| Position (°2θ) | I/Imax | h k l |
| --- | --- | --- |
| 29.77 | 100.0 | 2 0 2 |
| 33.75 | 52.8 | 2 2 0 |
| 35.98 | 17.3 | 0 0 4 |
| 48.48 | 18.9 | 4 0 0 |
| 50.16 | 26.4 | 2 2 4 |
| 57.93 | 29.7 | 4 2 2 |

No. 3
Simulated X-ray powder pattern
Compound: La7Sm2Dy
Radiation: Cu Kα (weighted mean of Kα1 and Kα2)
Structure: the PBE geometry in Alexandria
Kinematic intensities with the Lorentz-polarization factor, no thermal factor.

Crystal structure
```
data_La7Sm2Dy
_symmetry_space_group_name_H-M 'P 1 2/m 1'
_symmetry_Int_Tables_number 10
_symmetry_space_group_name_Hall '-P 2y'
_cell_length_a 9.0267
_cell_length_b 3.5197
_cell_length_c 12.0158
_cell_angle_alpha 90.00
_cell_angle_beta 111.52
_cell_angle_gamma 90.00
loop_
_atom_site_label
_atom_site_type_symbol
_atom_site_fract_x
_atom_site_fract_y
_atom_site_fract_z
La1 La 0.0000 0.0000 0.0000
La2 La 0.1910 0.0000 0.3062
La3 La 0.2226 0.0000 0.8081
La4 La 0.3933 0.5000 0.1133
Sm1 Sm 0.3964 0.0000 0.6011
Dy1 Dy 0.0000 0.5000 0.5000
```

Peak list (6 most intense, 2θ from 5° to 70°, sorted by position)
| Position (°2θ) | I/Imax | h k l |
| --- | --- | --- |
| 29.75 | 100.0 | 1 0 -4 |
| 30.00 | 55.0 | 3 0 -2 |
| 30.98 | 44.3 | 2 0 2 |
| 32.25 | 15.8 | 2 1 -1 |
| 36.22 | 22.1 | 2 1 -3 |
| 61.18 | 18.3 | 3 2 -2 |

No. 4
Simulated X-ray powder pattern
Compound: K4Zr6FeBr18
Radiation: Cu Kα (weighted mean of Kα1 and Kα2)
Structure: the PBE geometry in Alexandria
Kinematic intensities with the Lorentz-polarization factor, no thermal factor.

Crystal structure
```
data_K4Zr6FeBr18
_symmetry_space_group_name_H-M 'P -1'
_symmetry_Int_Tables_number 2
_symmetry_space_group_name_Hall '-P 1'
_cell_length_a 10.6328
_cell_length_b 10.7296
_cell_length_c 10.7359
_cell_angle_alpha 118.56
_cell_angle_beta 102.99
_cell_angle_gamma 101.03
loop_
_atom_site_label
_atom_site_type_symbol
_atom_site_fract_x
_atom_site_fract_y
_atom_site_fract_z
K1 K 0.1517 0.2324 0.0406
K2 K 0.1852 0.5707 0.7296
Zr1 Zr 0.3410 0.7639 0.4448
Zr2 Zr 0.3507 0.9578 0.2606
Zr3 Zr 0.3663 0.1440 0.6381
Fe1 Fe 0.5000 0.0000 0.5000
Br1 Br 0.1550 0.4923 0.3807
Br2 Br 0.1631 0.6907 0.1728
Br3 Br 0.1733 0.9056 0.9852
Br4 Br 0.1808 0.8971 0.5898
Br5 Br 0.1910 0.1111 0.3871
Br6 Br 0.2178 0.3072 0.7946
Br7 Br 0.4704 0.5810 0.2881
Br8 Br 0.4822 0.7978 0.0845
Br9 Br 0.4900 0.7849 0.7026
```

Peak list (6 most intense, 2θ from 5° to 70°, sorted by position)
| Position (°2θ) | I/Imax | h k l |
| --- | --- | --- |
| 9.11 | 75.1 | 1 0 0 |
| 9.59 | 68.8 | 0 1 -1 |
| 10.05 | 100.0 | 0 1 0 |
| 29.97 | 72.6 | -3 1 2 |
| 33.51 | 63.4 | 2 3 -2 |
| 46.71 | 54.6 | 5 1 -3 |

No. 5
Simulated X-ray powder pattern
Compound: AcMgHg4
Radiation: Cu Kα (weighted mean of Kα1 and Kα2)
Structure: the PBE geometry in Alexandria
Kinematic intensities with the Lorentz-polarization factor, no thermal factor.

Crystal structure
```
data_AcMgHg4
_symmetry_space_group_name_H-M 'I 4/m m m'
_symmetry_Int_Tables_number 139
_symmetry_space_group_name_Hall '-I 4 2'
_cell_length_a 13.2242
_cell_length_b 13.2242
_cell_length_c 7.9894
_cell_angle_alpha 90.00
_cell_angle_beta 90.00
_cell_angle_gamma 90.00
loop_
_atom_site_label
_atom_site_type_symbol
_atom_site_fract_x
_atom_site_fract_y
_atom_site_fract_z
Ac1 Ac 0.0000 0.0000 0.2504
Ac2 Ac 0.0000 0.5000 0.2500
Mg1 Mg 0.0000 0.2388 0.0000
Hg1 Hg 0.1155 0.3239 0.5000
Hg2 Hg 0.1708 0.1708 0.2234
```

Peak list (6 most intense, 2θ from 5° to 70°, sorted by position)
| Position (°2θ) | I/Imax | h k l |
| --- | --- | --- |
| 18.98 | 45.7 | 2 2 0 |
| 29.41 | 59.8 | 2 2 2 |
| 30.22 | 65.5 | 4 2 0 |
| 30.96 | 100.0 | 3 1 2 |
| 35.76 | 53.7 | 5 0 1 |
| 36.57 | 83.9 | 3 3 2 |

No. 6
Simulated X-ray powder pattern
Compound: CsGeBiI6
Radiation: Cu Kα (weighted mean of Kα1 and Kα2)
Structure: the PBE geometry in Alexandria
Kinematic intensities with the Lorentz-polarization factor, no thermal factor.

Crystal structure
```
data_CsGeBiI6
_symmetry_space_group_name_H-M 'P 3 1 2'
_symmetry_Int_Tables_number 149
_symmetry_space_group_name_Hall 'P 3 2'
_cell_length_a 7.9265
_cell_length_b 7.9265
_cell_length_c 8.7108
_cell_angle_alpha 90.00
_cell_angle_beta 90.00
_cell_angle_gamma 120.00
loop_
_atom_site_label
_atom_site_type_symbol
_atom_site_fract_x
_atom_site_fract_y
_atom_site_fract_z
Cs1 Cs 0.0000 0.0000 0.0000
Ge1 Ge 0.6667 0.3333 0.5000
Bi1 Bi 0.3333 0.6667 0.5000
I1 I 0.3781 0.0075 0.7067
```

Peak list (6 most intense, 2θ from 5° to 70°, sorted by position)
| Position (°2θ) | I/Imax | h k l |
| --- | --- | --- |
| 10.15 | 43.0 | 0 0 1 |
| 16.44 | 72.6 | 1 0 1 |
| 24.68 | 97.5 | 2 -1 1 |
| 30.50 | 100.0 | 2 -1 2 |
| 36.12 | 30.6 | 3 -1 1 |
| 39.38 | 42.4 | 3 0 0 |

No. 7
Simulated X-ray powder pattern
Compound: Y3ErMg6
Radiation: Cu Kα (weighted mean of Kα1 and Kα2)
Structure: the PBE geometry in Alexandria
Kinematic intensities with the Lorentz-polarization factor, no thermal factor.

Crystal structure
```
data_Y3ErMg6
_symmetry_space_group_name_H-M 'P 1 21/m 1'
_symmetry_Int_Tables_number 11
_symmetry_space_group_name_Hall '-P 2yb'
_cell_length_a 9.2514
_cell_length_b 5.2739
_cell_length_c 11.2497
_cell_angle_alpha 90.00
_cell_angle_beta 105.72
_cell_angle_gamma 90.00
loop_
_atom_site_label
_atom_site_type_symbol
_atom_site_fract_x
_atom_site_fract_y
_atom_site_fract_z
Y1 Y 0.0434 0.2500 0.3966
Y2 Y 0.1491 0.7500 0.2060
Y3 Y 0.2511 0.2500 0.0036
Er1 Er 0.4504 0.2500 0.5991
Mg1 Mg 0.0572 0.7500 0.9010
Mg2 Mg 0.1628 0.2500 0.7056
Mg3 Mg 0.2576 0.7500 0.5103
Mg4 Mg 0.3539 0.7500 0.8060
Mg5 Mg 0.3583 0.2500 0.3014
Mg6 Mg 0.4531 0.7500 0.1021
```

Peak list (6 most intense, 2θ from 5° to 70°, sorted by position)
| Position (°2θ) | I/Imax | h k l |
| --- | --- | --- |
| 23.57 | 27.7 | 2 0 1 |
| 23.78 | 52.9 | 1 1 -2 |
| 33.67 | 67.5 | 3 1 -1 |
| 33.79 | 100.0 | 2 0 -4 |
| 34.00 | 33.1 | 0 2 0 |
| 60.29 | 29.8 | 5 1 -5 |

No. 8
Simulated X-ray powder pattern
Compound: Mo2Rh9W
Radiation: Cu Kα (weighted mean of Kα1 and Kα2)
Structure: the PBE geometry in Alexandria
Kinematic intensities with the Lorentz-polarization factor, no thermal factor.

Crystal structure
```
data_Mo2Rh9W
_symmetry_space_group_name_H-M 'P -1'
_symmetry_Int_Tables_number 2
_symmetry_space_group_name_Hall '-P 1'
_cell_length_a 4.8319
_cell_length_b 4.8444
_cell_length_c 7.8476
_cell_angle_alpha 92.22
_cell_angle_beta 99.23
_cell_angle_gamma 96.34
loop_
_atom_site_label
_atom_site_type_symbol
_atom_site_fract_x
_atom_site_fract_y
_atom_site_fract_z
Mo1 Mo 0.0226 0.2497 0.3910
Rh1 Rh 0.0736 0.7504 0.2814
Rh2 Rh 0.2504 0.5482 0.9739
Rh3 Rh 0.4384 0.0140 0.8287
Rh4 Rh 0.4559 0.5089 0.6630
Rh5 Rh 0.5000 0.0000 0.5000
W1 W 0.0000 0.0000 0.0000
```

Peak list (6 most intense, 2θ from 5° to 70°, sorted by position)
| Position (°2θ) | I/Imax | h k l |
| --- | --- | --- |
| 38.00 | 32.9 | 2 0 0 |
| 39.97 | 31.1 | 1 -2 0 |
| 40.65 | 54.2 | 0 1 3 |
| 41.64 | 100.0 | 1 1 -3 |
| 42.04 | 39.6 | 1 -2 1 |
| 44.18 | 82.9 | -2 1 2 |

No. 9
Simulated X-ray powder pattern
Compound: CsBF4
Radiation: Cu Kα (weighted mean of Kα1 and Kα2)
Structure: the PBE geometry in Alexandria
Kinematic intensities with the Lorentz-polarization factor, no thermal factor.

Crystal structure
```
data_CsBF4
_symmetry_space_group_name_H-M 'I 41/a m d'
_symmetry_Int_Tables_number 141
_cell_length_a 8.0356
_cell_length_b 8.0356
_cell_length_c 7.4717
_cell_angle_alpha 90.00
_cell_angle_beta 90.00
_cell_angle_gamma 90.00
loop_
_symmetry_equiv_pos_as_xyz
'x,y,z'
'-x,-y,-z'
'-y+1/4,x+3/4,z+1/4'
'y+1/4,-x+3/4,-z+1/4'
'-x+1/2,-y,z+1/2'
'x+1/2,y,-z+1/2'
'y+1/4,-x+1/4,z+3/4'
'-y+1/4,x+1/4,-z+3/4'
'x,-y,-z'
'-x,y,z'
'-y+1/4,-x+1/4,-z+3/4'
'y+1/4,x+1/4,z+3/4'
'-x+1/2,y,-z+1/2'
'x+1/2,-y,z+1/2'
'y+1/4,x+3/4,-z+1/4'
'-y+1/4,-x+3/4,z+1/4'
'x+1/2,y+1/2,z+1/2'
'-x+1/2,-y+1/2,-z+1/2'
'-y+3/4,x+1/4,z+3/4'
'y+3/4,-x+1/4,-z+3/4'
'-x,-y+1/2,z'
'x,y+1/2,-z'
'y+3/4,-x+3/4,z+1/4'
'-y+3/4,x+3/4,-z+1/4'
'x+1/2,-y+1/2,-z+1/2'
'-x+1/2,y+1/2,z+1/2'
'-y+3/4,-x+3/4,-z+1/4'
'y+3/4,x+3/4,z+1/4'
'-x,y+1/2,-z'
'x,-y+1/2,z'
'y+3/4,x+1/4,-z+3/4'
'-y+3/4,-x+1/4,z+3/4'
loop_
_atom_site_label
_atom_site_type_symbol
_atom_site_fract_x
_atom_site_fract_y
_atom_site_fract_z
Cs1 Cs 0.0000 0.2500 0.3750
B1 B 0.0000 0.2500 0.8750
F1 F 0.0000 0.1062 0.7644
```

Peak list (6 most intense, 2θ from 5° to 70°, sorted by position)
| Position (°2θ) | I/Imax | h k l |
| --- | --- | --- |
| 16.20 | 41.1 | 1 0 1 |
| 22.12 | 100.0 | 2 0 0 |
| 27.54 | 29.1 | 2 1 1 |
| 28.60 | 77.8 | 1 1 2 |
| 42.32 | 35.8 | 3 2 1 |
| 43.05 | 41.9 | 3 1 2 |

No. 10
Simulated X-ray powder pattern
Compound: Li3SmAg7
Radiation: Cu Kα (weighted mean of Kα1 and Kα2)
Structure: the PBE geometry in Alexandria
Kinematic intensities with the Lorentz-polarization factor, no thermal factor.

Crystal structure
```
data_Li3SmAg7
_symmetry_space_group_name_H-M 'C 1 2/m 1'
_symmetry_Int_Tables_number 12
_symmetry_space_group_name_Hall '-C 2y'
_cell_length_a 8.9378
_cell_length_b 8.3396
_cell_length_c 5.7833
_cell_angle_alpha 90.00
_cell_angle_beta 95.58
_cell_angle_gamma 90.00
loop_
_atom_site_label
_atom_site_type_symbol
_atom_site_fract_x
_atom_site_fract_y
_atom_site_fract_z
Li1 Li 0.0000 0.0000 0.0000
Li2 Li 0.0000 0.1932 0.5000
Sm1 Sm 0.0000 0.5000 0.0000
Ag1 Ag 0.0000 0.5000 0.5000
Ag2 Ag 0.2140 0.0000 0.6659
Ag3 Ag 0.2408 0.1756 0.2231
```

Peak list (6 most intense, 2θ from 5° to 70°, sorted by position)
| Position (°2θ) | I/Imax | h k l |
| --- | --- | --- |
| 14.56 | 44.5 | 1 1 0 |
| 19.96 | 42.2 | 2 0 0 |
| 35.43 | 100.0 | 2 0 -2 |
| 36.89 | 58.3 | 1 3 -1 |
| 37.74 | 39.0 | 1 3 1 |
| 40.57 | 35.2 | 4 0 0 |

No. 11
Simulated X-ray powder pattern
Compound: DyPu5
Radiation: Cu Kα (weighted mean of Kα1 and Kα2)
Structure: the PBE geometry in Alexandria
Kinematic intensities with the Lorentz-polarization factor, no thermal factor.

Crystal structure
```
data_DyPu5
_symmetry_space_group_name_H-M 'C m m m'
_symmetry_Int_Tables_number 65
_symmetry_space_group_name_Hall '-C 2 2'
_cell_length_a 5.4621
_cell_length_b 10.2882
_cell_length_c 5.3014
_cell_angle_alpha 90.00
_cell_angle_beta 90.00
_cell_angle_gamma 90.00
loop_
_atom_site_label
_atom_site_type_symbol
_atom_site_fract_x
_atom_site_fract_y
_atom_site_fract_z
Dy1 Dy 0.0000 0.0000 0.0000
Pu1 Pu 0.0000 0.1944 0.5000
Pu2 Pu 0.0000 0.3348 0.0000
Pu3 Pu 0.0000 0.5000 0.5000
```

Peak list (6 most intense, 2θ from 5° to 70°, sorted by position)
| Position (°2θ) | I/Imax | h k l |
| --- | --- | --- |
| 32.79 | 33.2 | 2 0 0 |
| 33.82 | 30.7 | 0 0 2 |
| 35.23 | 100.0 | 1 3 1 |
| 47.82 | 23.8 | 2 0 2 |
| 60.13 | 22.1 | 3 3 1 |
| 61.42 | 20.8 | 1 3 3 |

No. 12
Simulated X-ray powder pattern
Compound: HoThH4
Radiation: Cu Kα (weighted mean of Kα1 and Kα2)
Structure: the PBE geometry in Alexandria
Kinematic intensities with the Lorentz-polarization factor, no thermal factor.

Crystal structure
```
data_HoThH4
_symmetry_space_group_name_H-M 'P 4/m m m'
_symmetry_Int_Tables_number 123
_symmetry_space_group_name_Hall '-P 4 2'
_cell_length_a 3.6737
_cell_length_b 3.6737
_cell_length_c 5.5185
_cell_angle_alpha 90.00
_cell_angle_beta 90.00
_cell_angle_gamma 90.00
loop_
_atom_site_label
_atom_site_type_symbol
_atom_site_fract_x
_atom_site_fract_y
_atom_site_fract_z
Ho1 Ho 0.0000 0.0000 0.0000
Th1 Th 0.5000 0.5000 0.5000
H1 H 0.0000 0.5000 0.2330
```

Peak list (6 most intense, 2θ from 5° to 70°, sorted by position)
| Position (°2θ) | I/Imax | h k l |
| --- | --- | --- |
| 29.20 | 100.0 | 1 0 1 |
| 32.45 | 18.5 | 0 0 2 |
| 34.53 | 31.4 | 1 1 0 |
| 48.11 | 26.4 | 1 1 2 |
| 55.90 | 17.1 | 1 0 3 |
| 58.63 | 28.9 | 2 1 1 |